Diffraction record for Ba8Y4CuW3O24. The powder X-ray diffraction pattern is computed, not measured: it uses DFT lattice parameters and positions (GGA+U) and Cu Ka.
Kinematic intensities with the Lorentz-polarization factor, no thermal factor.

Cell and atoms:
```
Ba8Y4CuW3O24
1.0
-4.245 4.245 8.644
4.245 -4.245 8.644
4.245 4.245 -8.644
Ba Y Cu W O
8 4 1 3 24
Direct
0.113 0.113 0.462
0.113 0.651 0.000
0.349 0.349 0.462
0.349 0.887 0.000
0.651 0.113 0.000
0.651 0.651 0.538
0.887 0.349 0.000
0.887 0.887 0.538
0.000 0.500 0.500
0.258 0.258 0.000
0.500 0.000 0.500
0.742 0.742 0.000
0.000 0.000 0.000
0.250 0.750 0.500
0.500 0.500 0.000
0.750 0.250 0.500
0.000 0.244 0.244
0.000 0.756 0.756
0.017 0.747 0.270
0.135 0.135 0.000
0.135 0.635 0.500
0.244 0.000 0.244
0.253 0.523 0.270
0.253 0.983 0.730
0.268 0.500 0.768
0.365 0.865 0.500
0.388 0.388 0.000
0.477 0.747 0.730
0.500 0.268 0.768
0.500 0.732 0.232
0.523 0.253 0.270
0.612 0.612 0.000
0.635 0.135 0.500
0.732 0.500 0.232
0.747 0.017 0.270
0.747 0.477 0.730
0.756 0.000 0.756
0.865 0.365 0.500
0.865 0.865 0.000
0.983 0.253 0.730
```

Peak list (8 most intense, 2θ = 10–90°, by angle)
2θ (°)  I (rel.)
29.49  100.0
29.76  48.3
41.80  15.0
42.59  27.7
52.15  18.4
52.65  35.0
61.20  16.5
84.40  8.3